Entry 1:
Calculated XRD peak list of Y3Al3Os2 for λ = 1.5418 Å (Cu Kα), from a PBE-relaxed structure.
Neutral-atom scattering factors, no anomalous dispersion.

Main lines, by angle (2θ from 10° to 80°):
23.27°, I 81; 26.04°, I 84; 33.67°, I 82; 35.22°, I 63; 36.62°, I 97; 37.66°, I 100; 38.42°, I 63; 40.89°, I 62

Crystal structure
```
32
Lattice="7.690 0.000 0.000 0.000 15.288 0.000 0.000 0.000 5.775" Properties=species:S:1:pos:R:3 pbc="T T T"
Y 0.277 1.651 0.618
Y 0.277 5.993 0.618
Y 1.338 3.822 3.656
Y 2.507 11.466 0.769
Y 3.568 9.295 3.505
Y 3.568 13.636 3.505
Y 4.122 1.651 2.270
Y 4.122 5.993 2.270
Y 5.184 3.822 5.006
Y 6.352 11.466 2.118
Y 7.413 9.295 5.157
Y 7.413 13.636 5.157
Al 1.261 0.534 3.457
Al 1.261 7.110 3.457
Al 1.303 11.466 3.554
Al 2.542 3.822 0.667
Al 2.585 8.178 0.570
Al 2.585 14.754 0.570
Al 5.106 0.534 5.205
Al 5.106 7.110 5.205
Al 5.148 11.466 5.108
Al 6.387 3.822 2.221
Al 6.430 8.178 2.318
Al 6.430 14.754 2.318
Os 1.009 9.279 2.176
Os 1.009 13.653 2.176
Os 2.836 1.635 5.064
Os 2.836 6.009 5.064
Os 4.854 9.279 0.711
Os 4.854 13.653 0.711
Os 6.681 1.635 3.598
Os 6.681 6.009 3.598
```



Entry 2:
Calculated XRD peak list of Cd8Se for λ = 1.5418 Å (Cu Kα), from a PBE-relaxed structure.
Neutral-atom scattering factors, no anomalous dispersion.

Main lines, by angle (2θ from 10° to 80°):
34.33°, I 100; 39.60°, I 33; 40.32°, I 16; 57.25°, I 11; 57.80°, I 21; 68.48°, I 25; 69.47°, I 12; 72.34°, I 11

Crystal structure
```
9
Lattice="-4.827 4.827 2.237 4.827 -4.827 2.237 4.827 4.827 -2.237" Properties=species:S:1:pos:R:3 pbc="T T T"
Cd 3.230 0.000 0.000
Cd 6.425 0.000 0.000
Cd 3.202 3.202 0.000
Cd 1.626 -1.626 2.237
Cd 0.000 3.230 0.000
Cd 0.000 6.425 0.000
Cd -1.626 1.626 2.237
Cd 1.626 1.626 2.237
Se 0.000 0.000 0.000
```



Entry 3:
Calculated XRD peak list of Ho6InSb3 for λ = 1.5418 Å (Cu Kα), from a PBE-relaxed structure.
Neutral-atom scattering factors, no anomalous dispersion.

Main lines, by angle (2θ from 10° to 80°):
30.56°, I 39; 32.34°, I 100; 32.71°, I 94; 34.62°, I 47; 35.15°, I 48; 42.95°, I 32; 56.30°, I 24; 56.66°, I 24

Crystal structure
```
20
Lattice="5.822 -5.682 0.000 5.822 5.682 0.000 0.000 0.000 8.423" Properties=species:S:1:pos:R:3 pbc="T T T"
Ho 2.920 2.813 6.317
Ho 5.822 3.859 4.216
Ho 5.822 3.859 8.419
Ho 3.949 0.000 0.000
Ho 3.949 0.000 4.211
Ho 2.920 -2.813 2.106
Ho 8.725 2.813 6.317
Ho 7.696 0.000 0.000
Ho 7.696 0.000 4.211
Ho 5.822 -3.859 0.004
Ho 5.822 -3.859 4.207
Ho 8.725 -2.813 2.106
In 5.822 1.625 6.317
In 5.822 -1.625 2.106
Sb 1.682 0.024 2.106
Sb 1.682 -0.024 6.317
Sb 5.822 1.576 2.106
Sb 5.822 -1.576 6.317
Sb 9.963 0.024 2.106
Sb 9.963 -0.024 6.317
```